(1)
LiMn2B2O6: theoretical X-ray diffraction stick pattern (CuKα), based on a structure optimized by DFT (PBE+U).

Atomic structure:
abc: 5.3044 9.1481 11.5424
angles: 67.36 78.05 89.54
Atoms (fractional coordinates):
Li1 0.0000 0.0000 0.0000
Li2 0.1273 0.4217 0.1792
Li3 0.2819 0.2465 0.4879
Li4 0.7605 0.7402 0.4978
Mn1 0.0334 0.3436 0.9624
Mn2 0.1079 0.7354 0.2177
Mn3 0.2852 0.9385 0.4583
Mn4 0.3671 0.2947 0.7171
Mn5 0.5306 0.8219 0.9640
Mn6 0.5961 0.2250 0.2094
Mn7 0.7974 0.4324 0.4592
Mn8 0.8571 0.7955 0.7129
B1 0.0478 0.6837 0.9699
B2 0.0966 0.0748 0.2038
B3 0.3065 0.6028 0.4586
B4 0.3566 0.9610 0.6987
B5 0.5502 0.1645 0.9644
B6 0.5962 0.5562 0.2133
B7 0.8033 0.0984 0.4580
B8 0.8633 0.4630 0.6999
O1 0.0197 0.2328 0.1528
O2 0.0417 0.4043 0.7786
O3 0.0681 0.6159 0.4196
O4 0.1363 0.5385 0.9932
O5 0.1471 0.7923 0.0134
O6 0.2658 0.8648 0.6418
O7 0.2845 0.0537 0.2761
O8 0.2991 0.1128 0.6668
O9 0.3144 0.1999 0.9238
O10 0.4037 0.4519 0.4998
O11 0.4359 0.7342 0.4514
O12 0.4523 0.4274 0.2257
O13 0.5141 0.8837 0.7835
O14 0.5262 0.7106 0.1512
O15 0.5703 0.1135 0.4169
O16 0.6529 0.2675 0.0104
O17 0.6701 0.0367 0.9566
O18 0.7764 0.6079 0.6720
O19 0.7815 0.3601 0.6461
O20 0.8204 0.5388 0.2667
O21 0.8493 0.7340 0.9066
O22 0.8930 0.9452 0.5017
O23 0.9415 0.2278 0.4511
O24 0.9932 0.9580 0.1810

Principal peaks in the range 2θ = 5–70°, in order of falling intensity:
- 19.41 deg, intensity 100, (0 2 1)
- 21.36 deg, intensity 95, (1 -1 1)
- 34.53 deg, intensity 72, (0 0 4)
- 33.80 deg, intensity 55, (1 3 2)
- 37.65 deg, intensity 37, (2 0 -1)
- 40.25 deg, intensity 34, (-2 2 1)
- 25.44 deg, intensity 33, (1 1 -1)
- 21.11 deg, intensity 32, (0 2 0)
- 25.73 deg, intensity 31, (-1 1 2)
- 48.41 deg, intensity 28, (1 -1 5)
- 34.03 deg, intensity 28, (-1 3 1)
- 53.81 deg, intensity 24, (-2 4 2)

(2)
LiMn4B4O12: theoretical X-ray diffraction stick pattern (CuKα), based on a structure optimized by DFT (PBE+U).

Atomic structure:
abc: 5.3298 5.7914 9.1027
angles: 105.92 92.95 112.20
Atoms (fractional coordinates):
Li1 0.0000 0.0000 0.0000
Mn1 0.0006 0.4092 0.5850
Mn2 0.0192 0.9439 0.3159
Mn3 0.4809 0.9193 0.7964
Mn4 0.5347 0.4274 0.0834
B1 0.0452 0.4247 0.2466
B2 0.4787 0.9271 0.1422
B3 0.5257 0.4062 0.7295
B4 0.9658 0.9262 0.6571
O1 0.0853 0.3181 0.3625
O2 0.1395 0.3714 0.1125
O3 0.1413 0.7941 0.6330
O4 0.3489 0.5381 0.7514
O5 0.3734 0.9547 0.2755
O6 0.3852 0.9918 0.0193
O7 0.5532 0.2899 0.8405
O8 0.6434 0.3919 0.6022
O9 0.6990 0.8476 0.1290
O10 0.8564 0.9506 0.7894
O11 0.8760 0.5645 0.2709
O12 0.9322 0.0395 0.5462

Principal peaks in the range 2θ = 5–70°, in order of falling intensity:
- 19.34 deg, intensity 100, (1 0 -1)
- 22.41 deg, intensity 92, (0 1 -2)
- 22.51 deg, intensity 81, (1 0 1)
- 35.30 deg, intensity 70, (0 2 0)
- 33.35 deg, intensity 51, (1 0 -3)
- 20.61 deg, intensity 36, (0 0 2)
- 51.24 deg, intensity 35, (0 3 -2)
- 37.00 deg, intensity 34, (2 0 0)
- 34.81 deg, intensity 33, (1 -1 3)
- 20.89 deg, intensity 29, (1 -1 1)
- 41.92 deg, intensity 28, (0 0 4)
- 39.45 deg, intensity 26, (-2 1 2)

(3)
Li5Mn6B6O18: theoretical X-ray diffraction stick pattern (CuKα), based on a structure optimized by DFT (PBE+U).

Atomic structure:
abc: 5.9426 8.2914 9.0675
angles: 112.19 102.76 102.46
Atoms (fractional coordinates):
Li1 0.0000 0.0000 0.0000
Li2 0.1223 0.7852 0.4594
Li3 0.3275 0.3400 0.6679
Li4 0.4760 0.1159 0.1238
Li5 0.8135 0.4552 0.7891
Mn1 0.1954 0.7577 0.1123
Mn2 0.3015 0.3784 0.0305
Mn3 0.5278 0.0962 0.7864
Mn4 0.6246 0.7049 0.6667
Mn5 0.8471 0.4155 0.4351
Mn6 0.9319 0.0152 0.3438
B1 0.1864 0.7633 0.7759
B2 0.2903 0.3430 0.3456
B3 0.5056 0.0964 0.4486
B4 0.6283 0.6911 0.0020
B5 0.8569 0.4313 0.1191
B6 0.9714 0.0358 0.6902
O1 0.1380 0.3107 0.4387
O2 0.1864 0.1877 0.7728
O3 0.2207 0.2392 0.1753
O4 0.2563 0.8759 0.9471
O5 0.2854 0.9506 0.3659
O6 0.3201 0.8102 0.6799
O7 0.4851 0.6503 0.0926
O8 0.5245 0.4747 0.4379
O9 0.5632 0.5838 0.8300
O10 0.5838 0.2091 0.6191
O11 0.6369 0.2847 0.0442
O12 0.6429 0.1345 0.3495
O13 0.8347 0.9891 0.7856
O14 0.8475 0.8404 0.0888
O15 0.8953 0.9248 0.5209
O16 0.9550 0.5336 0.2920
O17 0.9744 0.6094 0.6935
O18 0.9793 0.4746 0.0167

Principal peaks in the range 2θ = 5–70°, in order of falling intensity:
- 33.93 deg, intensity 100, (2 -2 0)
- 20.21 deg, intensity 57, (0 1 -2)
- 22.65 deg, intensity 44, (1 0 1)
- 21.96 deg, intensity 28, (0 2 -1)
- 40.59 deg, intensity 23, (0 2 2)
- 39.77 deg, intensity 17, (1 3 -2)
- 34.38 deg, intensity 16, (1 2 -3)
- 20.67 deg, intensity 15, (1 1 -1)
- 37.63 deg, intensity 15, (0 3 -3)
- 40.40 deg, intensity 13, (1 1 -4)
- 50.66 deg, intensity 11, (3 -2 1)
- 50.86 deg, intensity 11, (-3 2 2)

(4)
Li2Mn3B3O9: theoretical X-ray diffraction stick pattern (CuKα), based on a structure optimized by DFT (PBE+U).

Atomic structure:
abc: 8.2580 8.8404 9.4982
angles: 68.53 89.52 62.32
Atoms (fractional coordinates):
Li1 0.0000 0.0000 0.0000
Li2 0.0032 0.9970 0.3385
Li3 0.2560 0.3215 0.5796
Li4 0.2710 0.3176 0.2412
Li5 0.6786 0.5736 0.8171
Li6 0.6901 0.5808 0.4910
Mn1 0.3442 0.9446 0.5264
Mn2 0.3559 0.9469 0.1890
Mn3 0.3595 0.9314 0.8672
Mn4 0.5996 0.2840 0.7509
Mn5 0.6204 0.2968 0.0821
Mn6 0.6422 0.2943 0.4149
Mn7 0.9686 0.6629 0.2905
Mn8 0.9698 0.6537 0.9606
Mn9 0.9720 0.6797 0.6211
B1 0.3089 0.6399 0.1262
B2 0.3141 0.6316 0.8007
B3 0.3189 0.6346 0.4709
B4 0.6348 0.9693 0.6981
B5 0.6499 0.9643 0.0110
B6 0.6534 0.9695 0.3572
B7 0.9705 0.3043 0.7398
B8 0.9871 0.2881 0.0802
B9 0.9936 0.2989 0.4103
O1 0.0603 0.4086 0.6910
O2 0.0671 0.1108 0.4472
O3 0.0682 0.0933 0.1400
O4 0.0767 0.1130 0.8142
O5 0.0946 0.3705 0.0743
O6 0.1136 0.3740 0.3906
O7 0.1188 0.7127 0.1024
O8 0.1283 0.6892 0.7796
O9 0.1275 0.7164 0.4368
O10 0.3777 0.7643 0.0760
O11 0.3823 0.7565 0.7694
O12 0.4080 0.7387 0.4315
O13 0.4262 0.4380 0.5464
O14 0.4293 0.4486 0.2002
O15 0.4390 0.0449 0.6751
O16 0.4491 0.4435 0.8557
O17 0.4579 0.0386 0.9722
O18 0.4616 0.0471 0.3235
O19 0.7029 0.0928 0.6627
O20 0.7189 0.0913 0.9658
O21 0.7329 0.0841 0.3166
O22 0.7515 0.7789 0.7530
O23 0.7673 0.7758 0.4320
O24 0.7685 0.7785 0.0897
O25 0.7753 0.3992 0.7117
O26 0.7972 0.3981 0.0263
O27 0.8051 0.4133 0.3931

Principal peaks in the range 2θ = 5–70°, in order of falling intensity:
- 21.50 deg, intensity 100, (1 -1 0)
- 21.60 deg, intensity 50, (1 2 0)
- 35.91 deg, intensity 34, (2 0 -3)
- 35.71 deg, intensity 33, (-1 2 3)
- 35.61 deg, intensity 32, (1 3 3)
- 37.82 deg, intensity 30, (3 3 0)
- 52.87 deg, intensity 18, (2 5 3)
- 58.29 deg, intensity 13, (0 2 6)
- 37.63 deg, intensity 13, (3 0 0)
- 47.59 deg, intensity 13, (3 1 3)
- 28.19 deg, intensity 11, (0 1 3)
- 33.23 deg, intensity 10, (3 2 0)

(5)
Li2Mn3B3O9: theoretical X-ray diffraction stick pattern (CuKα), based on a structure optimized by DFT (PBE+U).

Atomic structure:
abc: 5.2695 8.3012 9.2556
angles: 104.33 105.66 90.63
Atoms (fractional coordinates):
Li1 0.0000 0.0000 0.0000
Li2 0.0280 0.2509 0.4014
Li3 0.3517 0.3429 0.6858
Li4 0.6778 0.6690 0.3364
Mn1 0.1500 0.9898 0.6000
Mn2 0.2465 0.6048 0.4954
Mn3 0.4733 0.3295 0.2498
Mn4 0.5573 0.9289 0.1583
Mn5 0.8223 0.6572 0.9333
Mn6 0.8922 0.2676 0.8244
B1 0.1289 0.8256 0.2734
B2 0.2627 0.7888 0.8277
B3 0.4641 0.1514 0.9336
B4 0.5889 0.1238 0.4880
B5 0.8016 0.4786 0.5974
B6 0.9158 0.4334 0.1477
O1 0.0132 0.8030 0.8403
O2 0.0365 0.7883 0.3913
O3 0.0539 0.4481 0.5904
O4 0.1024 0.3897 0.2682
O5 0.2783 0.2002 0.8166
O6 0.3288 0.8062 0.6966
O7 0.3370 0.1463 0.4978
O8 0.3773 0.1099 0.0518
O9 0.3885 0.8060 0.2753
O10 0.4719 0.7640 0.9513
O11 0.6201 0.5276 0.4793
O12 0.6625 0.1310 0.3531
O13 0.6738 0.4760 0.1614
O14 0.7143 0.4468 0.7203
O15 0.7239 0.1395 0.9348
O16 0.7941 0.1061 0.6145
O17 0.9504 0.8762 0.1550
O18 0.9897 0.4483 0.0144

Principal peaks in the range 2θ = 5–70°, in order of falling intensity:
- 34.34 deg, intensity 100, (0 2 2)
- 20.22 deg, intensity 83, (1 1 -1)
- 22.77 deg, intensity 66, (1 0 1)
- 40.54 deg, intensity 52, (2 -2 0)
- 21.89 deg, intensity 45, (0 2 -1)
- 34.03 deg, intensity 32, (2 0 -1)
- 39.66 deg, intensity 27, (0 3 -3)
- 33.88 deg, intensity 24, (1 -2 2)
- 20.74 deg, intensity 24, (0 1 -2)
- 37.57 deg, intensity 22, (1 3 -2)
- 51.30 deg, intensity 22, (1 2 3)
- 61.16 deg, intensity 20, (-2 4 2)

(6)
LiMn2B2O6: theoretical X-ray diffraction stick pattern (CuKα), based on a structure optimized by DFT (PBE+U).

Atomic structure:
abc: 5.3096 6.1844 7.6734
angles: 81.48 87.89 87.77
Atoms (fractional coordinates):
Li1 0.0953 0.3614 0.3039
Li2 0.9047 0.6386 0.6961
Mn1 0.0929 0.0686 0.6826
Mn2 0.4053 0.4349 0.8226
Mn3 0.5947 0.5651 0.1774
Mn4 0.9071 0.9314 0.3174
B1 0.0730 0.7184 0.0050
B2 0.4141 0.7386 0.4918
B3 0.5859 0.2614 0.5082
B4 0.9270 0.2816 0.9950
O1 0.0426 0.3506 0.8286
O2 0.0528 0.1666 0.1284
O3 0.1626 0.7974 0.5185
O4 0.3257 0.6446 0.9861
O5 0.4387 0.3570 0.3718
O6 0.4673 0.2068 0.6770
O7 0.5327 0.7932 0.3230
O8 0.5613 0.6430 0.6282
O9 0.6743 0.3554 0.0139
O10 0.8374 0.2026 0.4815
O11 0.9472 0.8334 0.8716
O12 0.9574 0.6494 0.1714

Principal peaks in the range 2θ = 5–70°, in order of falling intensity:
- 19.95 deg, intensity 100, (0 1 -1)
- 22.57 deg, intensity 85, (1 -1 0)
- 34.89 deg, intensity 84, (0 2 2)
- 21.81 deg, intensity 62, (1 1 0)
- 33.96 deg, intensity 43, (1 -1 2)
- 40.91 deg, intensity 34, (2 0 2)
- 20.74 deg, intensity 33, (1 0 -1)
- 20.13 deg, intensity 30, (1 0 1)
- 37.07 deg, intensity 29, (1 2 -1)
- 40.56 deg, intensity 27, (0 1 -3)
- 34.21 deg, intensity 26, (1 1 -2)
- 39.45 deg, intensity 24, (2 1 -1)